This entry pairs a crystal structure of Ho2MgS4 with its theoretical PXRD pattern. Radiation: Cu Kα (weighted mean of Kα1 and Kα2). Structure: a PBE-relaxed structure.
Peak positions follow from Bragg's law for the DFT cell and can differ from measured ones.

Top 8 peaks for 2θ from 5° to 70°, by angle:
2θ/deg  I_rel
15.10  601
18.87  959
24.10  528
26.25  517
26.67  487
27.31  824
38.27  1000
38.47  408

Structural model:
```
Ho2MgS4
1.0
13.436 0.000 0.000
0.000 7.867 0.000
0.000 0.000 6.522
Ho Mg S
8 4 16
Direct
0.000 0.000 0.000
0.000 0.500 0.000
0.232 0.250 0.493
0.268 0.750 0.993
0.500 0.000 0.500
0.500 0.500 0.500
0.732 0.250 0.007
0.768 0.750 0.507
0.096 0.750 0.420
0.404 0.250 0.920
0.596 0.750 0.080
0.904 0.250 0.580
0.070 0.250 0.746
0.090 0.750 0.788
0.171 0.509 0.235
0.171 0.991 0.235
0.329 0.009 0.735
0.329 0.491 0.735
0.410 0.250 0.288
0.430 0.750 0.246
0.570 0.250 0.754
0.590 0.750 0.712
0.671 0.509 0.265
0.671 0.991 0.265
0.829 0.009 0.765
0.829 0.491 0.765
0.910 0.250 0.212
0.930 0.750 0.254
```


This entry pairs a crystal structure of AcInGa with its theoretical PXRD pattern. Radiation: Cu Kα (weighted mean of Kα1 and Kα2). Structure: a PBE-relaxed structure.
Peak positions follow from Bragg's law for the DFT cell and can differ from measured ones.

Top 8 peaks for 2θ from 5° to 70°, by angle:
2θ/deg  I_rel
26.20  323
29.60  1000
32.97  460
36.85  239
41.50  172
43.99  198
53.99  228
58.69  169

Structural model:
```
AcInGa
1.0
8.462 -2.439 0.000
8.462 2.439 0.000
-1.119 0.000 4.206
Ac In Ga
2 2 2
Direct
0.111 0.111 0.361
0.889 0.889 0.639
0.295 0.295 0.044
0.705 0.705 0.956
0.461 0.461 0.211
0.539 0.539 0.789
```


This entry pairs a crystal structure of Rb2NaCuCl6 with its theoretical PXRD pattern. Radiation: Cu Kα (weighted mean of Kα1 and Kα2). Structure: a PBE-relaxed structure.
Peak positions follow from Bragg's law for the DFT cell and can differ from measured ones.

Top 8 peaks for 2θ from 5° to 70°, by angle:
2θ/deg  I_rel
14.93  245
24.50  872
30.12  759
34.92  1000
43.12  369
50.22  631
59.68  244
68.30  211

Structural model:
```
Rb2NaCuCl6
1.0
0.000 5.138 5.138
5.138 0.000 5.138
5.138 5.138 0.000
Rb Na Cu Cl
2 1 1 6
Direct
0.250 0.250 0.250
0.750 0.750 0.750
0.000 0.000 0.000
0.500 0.500 0.500
0.268 0.268 0.732
0.268 0.732 0.268
0.268 0.732 0.732
0.732 0.268 0.268
0.732 0.268 0.732
0.732 0.732 0.268
```


This entry pairs a crystal structure of Tl2AgAuI5 with its theoretical PXRD pattern. Radiation: Cu Kα (weighted mean of Kα1 and Kα2). Structure: a PBE-relaxed structure.
Peak positions follow from Bragg's law for the DFT cell and can differ from measured ones.

Top 8 peaks for 2θ from 5° to 70°, by angle:
2θ/deg  I_rel
24.54  1000
26.96  429
28.48  865
31.37  553
33.31  290
41.52  299
43.66  276
48.83  200

Structural model:
```
Tl2AgAuI5
1.0
2.175 -11.264 0.000
2.175 11.264 0.000
0.000 0.000 13.852
Tl Ag Au I
4 2 2 10
Direct
0.116 0.884 0.500
0.131 0.869 0.885
0.869 0.131 0.385
0.884 0.116 0.000
0.225 0.775 0.224
0.775 0.225 0.724
0.431 0.569 0.646
0.569 0.431 0.146
0.030 0.970 0.248
0.289 0.711 0.868
0.314 0.686 0.585
0.353 0.647 0.193
0.491 0.509 0.467
0.509 0.491 0.967
0.647 0.353 0.693
0.686 0.314 0.085
0.711 0.289 0.368
0.970 0.030 0.748
```


This entry pairs a crystal structure of CsTeHO with its theoretical PXRD pattern. Radiation: Cu Kα (weighted mean of Kα1 and Kα2). Structure: a PBE-relaxed structure.
Peak positions follow from Bragg's law for the DFT cell and can differ from measured ones.

Top 8 peaks for 2θ from 5° to 70°, by angle:
2θ/deg  I_rel
22.81  934
23.64  1000
24.14  763
27.19  638
31.20  389
31.89  491
32.48  465
46.58  452

Structural model:
```
CsTeHO
1.0
4.526 0.000 0.000
2.238 4.710 0.000
2.125 -0.973 5.513
Cs Te H O
1 1 1 1
Direct
0.000 0.000 0.000
0.958 0.502 0.515
0.584 0.244 0.561
0.833 0.157 0.551
```


This entry pairs a crystal structure of Th2MgPtRh5 with its theoretical PXRD pattern. Radiation: Cu Kα (weighted mean of Kα1 and Kα2). Structure: a PBE-relaxed structure.
Peak positions follow from Bragg's law for the DFT cell and can differ from measured ones.

Top 8 peaks for 2θ from 5° to 70°, by angle:
2θ/deg  I_rel
14.95  516
30.17  392
35.04  1000
38.02  630
40.49  309
49.68  223
52.00  217
63.62  234

Structural model:
```
Th2MgPtRh5
1.0
-4.190 4.190 5.262
4.190 -4.190 5.262
4.190 4.190 -5.262
Th Mg Pt Rh
4 2 2 10
Direct
0.140 0.640 0.779
0.360 0.140 0.500
0.640 0.860 0.500
0.860 0.360 0.221
0.250 0.250 0.000
0.750 0.750 0.000
0.250 0.750 0.500
0.750 0.250 0.500
0.000 0.000 0.000
0.054 0.169 0.500
0.169 0.669 0.115
0.331 0.446 0.500
0.446 0.946 0.115
0.500 0.500 0.000
0.554 0.054 0.885
0.669 0.554 0.500
0.831 0.331 0.885
0.946 0.831 0.500
```